Entry 1:
This entry pairs a crystal structure of ZnMo2Ru3 with its theoretical X-ray powder pattern. Radiation: copper Kα. Structure: a cell relaxed with GGA-PBE.

Peak list (6 most intense, 10° ≤ 2θ ≤ 90°, by intensity)
d (Å)	2theta	I/Imax
2.218	40.68	100
2.089	43.31	43
1.230	77.66	29
1.308	72.21	16
1.477	62.91	14
1.109	88.09	10

Crystal structure
Cell: 2.955 2.955 10.068 Å, 90.00 90.00 90.00°
Space group P4/mmm (No. 123)
Inequivalent atoms, fractional coordinates:
Zn  0.000  0.000  0.000 [1 per cell]
Mo  0.000  0.000  0.321 [2 per cell]
Ru  0.500  0.500  0.163 [2 per cell]
Ru  0.500  0.500  0.500 [1 per cell]

Entry 2:
This entry pairs a crystal structure of Pr3Ho2Tl7 with its theoretical X-ray powder pattern. Radiation: copper Kα. Structure: a cell relaxed with GGA-PBE.

Peak list (6 most intense, 10° ≤ 2θ ≤ 90°, by intensity)
d (Å)	2theta	I/Imax
2.587	34.68	100
2.858	31.30	41
2.766	32.36	37
1.988	45.64	34
3.054	29.24	25
1.592	57.91	23

Crystal structure
Cell: 5.533 23.850 5.715 Å, 90.00 90.00 90.00°
Space group Cmmm (No. 65)
Inequivalent atoms, fractional coordinates:
Pr  0.000  0.000  0.000 [2 per cell]
Pr  0.000  0.164  0.000 [4 per cell]
Ho  0.000  0.356  0.500 [4 per cell]
Tl  0.000  0.077  0.500 [4 per cell]
Tl  0.000  0.225  0.500 [4 per cell]
Tl  0.000  0.416  0.000 [4 per cell]
Tl  0.000  0.500  0.500 [2 per cell]